Entry 1:
Calculated powder X-ray diffraction pattern
Compound: SrHgPb2F8
Radiation: Cu Kα X-rays
Structure: a structure optimized by DFT (GGA-PBE)
Peak positions follow from Bragg's law for the DFT cell and can differ from measured ones.

Main lines, sorted by position (15° ≤ 2θ ≤ 90°):
(1 1 0), 26.29 deg, 3.389 Å, I 100; (0 2 0), 30.34 deg, 2.946 Å, I 10; (1 0 2), 30.51 deg, 2.930 Å, I 20; (2 0 0), 43.57 deg, 2.077 Å, I 49; (1 3 0), 51.50 deg, 1.775 Å, I 16; (2 1 2), 51.64 deg, 1.770 Å, I 16; (1 1 4), 51.78 deg, 1.766 Å, I 16; (3 1 0), 69.74 deg, 1.348 Å, I 10

Structural model:
a b c (Å): 4.1530 5.8915 8.2694
angles (deg): 90.00 90.00 90.00
Space group Pmmm (No. 47)
One atom of each set of equivalent atoms:
Sr1 0.0000 0.0000 0.0000
Hg1 0.0000 0.0000 0.5000
Pb1 0.5000 0.5000 0.2554
F1 0.0000 0.2414 0.2569
F2 0.5000 0.2383 0.5000
F3 0.5000 0.2454 0.0000

=====

Entry 2:
Calculated powder X-ray diffraction pattern
Compound: Sm4Cd5Cu2
Radiation: Cu Kα X-rays
Structure: a structure optimized by DFT (GGA-PBE)
Peak positions follow from Bragg's law for the DFT cell and can differ from measured ones.

Main lines, sorted by position (15° ≤ 2θ ≤ 90°):
(1 1 -2), 32.16 deg, 2.783 Å, I 100; (1 1 2), 33.11 deg, 2.706 Å, I 87; (2 1 0), 33.72 deg, 2.658 Å, I 68; (2 1 1), 35.45 deg, 2.532 Å, I 61; (0 1 3), 36.95 deg, 2.433 Å, I 55; (2 0 3), 37.60 deg, 2.392 Å, I 48; (2 1 -2), 37.79 deg, 2.381 Å, I 49; (1 1 5), 55.48 deg, 1.656 Å, I 45

Structural model:
a b c (Å): 7.6810 3.6903 9.7392
angles (deg): 90.00 94.02 90.00
Space group P2/m (No. 10)
One atom of each set of equivalent atoms:
Sm1 0.1666 0.0000 0.3582
Sm2 0.2361 0.0000 0.9430
Cd1 0.1853 0.5000 0.6545
Cd2 0.4428 0.5000 0.1880
Cd3 0.5000 0.5000 0.5000
Cu1 0.0604 0.5000 0.1281

=====

Entry 3:
Calculated powder X-ray diffraction pattern
Compound: CaPa2O7
Radiation: Cu Kα X-rays
Structure: a structure optimized by DFT (GGA-PBE)
Peak positions follow from Bragg's law for the DFT cell and can differ from measured ones.

Main lines, sorted by position (15° ≤ 2θ ≤ 90°):
(0 0 2), 17.11 deg, 5.182 Å, I 66; (0 0 3), 25.79 deg, 3.455 Å, I 29; (0 1 0), 26.38 deg, 3.379 Å, I 22; (1 0 1), 27.66 deg, 3.225 Å, I 100; (1 1 -1), 28.21 deg, 3.164 Å, I 39; (0 1 -2), 31.83 deg, 2.811 Å, I 29; (0 1 3), 36.93 deg, 2.434 Å, I 25; (2 1 0), 46.80 deg, 1.941 Å, I 26

Structural model:
a b c (Å): 3.8834 3.8840 10.3694
angles (deg): 88.51 88.56 60.47
Space group P-1 (No. 2)
One atom of each set of equivalent atoms:
Ca1 0.0000 0.0000 0.0000
Pa1 0.3478 0.3501 0.7064
O1 0.0087 0.0107 0.7542
O2 0.3106 0.3079 0.3713
O3 0.3374 0.3384 0.9028
O4 0.5000 0.5000 0.5000

=====

Entry 4:
Calculated powder X-ray diffraction pattern
Compound: Nd8Al
Radiation: Cu Kα X-rays
Structure: a structure optimized by DFT (GGA-PBE)
Peak positions follow from Bragg's law for the DFT cell and can differ from measured ones.

Main lines, sorted by position (15° ≤ 2θ ≤ 90°):
(3 0 1), 30.47 deg, 2.934 Å, I 100; (3 3 0), 35.05 deg, 2.560 Å, I 34; (0 0 2), 35.86 deg, 2.504 Å, I 16; (6 0 0), 50.42 deg, 1.810 Å, I 12; (3 3 2), 51.02 deg, 1.790 Å, I 23; (6 3 1), 60.06 deg, 1.540 Å, I 27; (3 0 3), 61.13 deg, 1.516 Å, I 14; (6 0 2), 63.41 deg, 1.467 Å, I 12

Structural model:
a b c (Å): 10.8604 10.8604 5.0083
angles (deg): 90.00 90.00 90.00
Space group I4/mmm (No. 139)
One atom of each set of equivalent atoms:
Nd1 0.0000 0.3279 0.0000
Nd2 0.1582 0.1582 0.5000
Al1 0.0000 0.0000 0.0000

=====

Entry 5:
Calculated powder X-ray diffraction pattern
Compound: Nb2IBr4
Radiation: Cu Kα X-rays
Structure: a structure optimized by DFT (GGA-PBE)
Peak positions follow from Bragg's law for the DFT cell and can differ from measured ones.

Main lines, sorted by position (15° ≤ 2θ ≤ 90°):
(1 1 1), 15.23 deg, 5.817 Å, I 35; (1 3 1), 20.43 deg, 4.348 Å, I 52; (2 4 0), 23.52 deg, 3.783 Å, I 37; (1 5 1), 28.14 deg, 3.171 Å, I 100; (2 0 2), 29.15 deg, 3.064 Å, I 73; (3 5 1), 34.26 deg, 2.617 Å, I 69; (1 3 3), 42.36 deg, 2.134 Å, I 44; (7 1 1), 50.67 deg, 1.802 Å, I 36

Structural model:
a b c (Å): 13.1364 18.5073 6.9276
angles (deg): 90.00 90.00 90.00
Space group Fdd2 (No. 43)
One atom of each set of equivalent atoms:
Nb1 0.0971 0.1761 0.0000
I1 0.0000 0.0000 0.5500
Br1 0.0300 0.3035 0.1591
Br2 0.0630 0.4029 0.5838

=====

Entry 6:
Calculated powder X-ray diffraction pattern
Compound: Cu2I3Br4
Radiation: Cu Kα X-rays
Structure: a structure optimized by DFT (GGA-PBE)
Peak positions follow from Bragg's law for the DFT cell and can differ from measured ones.

Main lines, sorted by position (15° ≤ 2θ ≤ 90°):
(1 1 -2), 21.19 deg, 4.194 Å, I 100; (0 4 0), 25.20 deg, 3.534 Å, I 24; (1 3 -2), 27.77 deg, 3.213 Å, I 25; (5 1 0), 31.20 deg, 2.867 Å, I 24; (5 3 0), 36.11 deg, 2.487 Å, I 21; (4 4 2), 42.12 deg, 2.145 Å, I 25; (6 2 -2), 42.38 deg, 2.133 Å, I 20; (2 2 -4), 43.14 deg, 2.097 Å, I 19

Structural model:
a b c (Å): 14.7143 14.1363 8.9663
angles (deg): 90.00 95.76 90.00
Space group C2/c (No. 15)
One atom of each set of equivalent atoms:
Cu1 0.2371 0.1336 0.0575
I1 0.0000 0.4733 0.7500
I2 0.0983 0.0186 0.0511
Br1 0.1382 0.2533 0.9435
Br2 0.1853 0.4964 0.8255

=====

Copy entry 3 word for word.
Calculated powder X-ray diffraction pattern
Compound: CaPa2O7
Radiation: Cu Kα X-rays
Structure: a structure optimized by DFT (GGA-PBE)
Peak positions follow from Bragg's law for the DFT cell and can differ from measured ones.

Main lines, sorted by position (15° ≤ 2θ ≤ 90°):
(0 0 2), 17.11 deg, 5.182 Å, I 66; (0 0 3), 25.79 deg, 3.455 Å, I 29; (0 1 0), 26.38 deg, 3.379 Å, I 22; (1 0 1), 27.66 deg, 3.225 Å, I 100; (1 1 -1), 28.21 deg, 3.164 Å, I 39; (0 1 -2), 31.83 deg, 2.811 Å, I 29; (0 1 3), 36.93 deg, 2.434 Å, I 25; (2 1 0), 46.80 deg, 1.941 Å, I 26

Structural model:
a b c (Å): 3.8834 3.8840 10.3694
angles (deg): 88.51 88.56 60.47
Space group P-1 (No. 2)
One atom of each set of equivalent atoms:
Ca1 0.0000 0.0000 0.0000
Pa1 0.3478 0.3501 0.7064
O1 0.0087 0.0107 0.7542
O2 0.3106 0.3079 0.3713
O3 0.3374 0.3384 0.9028
O4 0.5000 0.5000 0.5000